No. 1
For TmGa4Au12, the GGA-PBE geometry in Alexandria gives the computed X-ray diffraction stick pattern in this record (Cu Kα).
No peak broadening, texture or thermal motion is included.

Principal peaks in the range 2θ from 15° to 90°, low angle first:
d = 2.835 Å, 2θ = 31.56°, rel. 100; d = 2.396 Å, 2θ = 37.54°, rel. 41; d = 2.004 Å, 2θ = 45.24°, rel. 12; d = 1.830 Å, 2θ = 49.83°, rel. 16; d = 1.758 Å, 2θ = 52.02°, rel. 32; d = 1.537 Å, 2θ = 60.19°, rel. 13; d = 1.494 Å, 2θ = 62.13°, rel. 13; d = 1.322 Å, 2θ = 71.36°, rel. 17

Structural model:
a b c (Å): 7.763 7.763 7.763
angles (deg): 109.47 109.47 109.47
Atoms (fractional coordinates):
Tm (0.000, 0.000, 0.000)
Ga (0.000, 0.000, 0.500)
Ga (0.000, 0.500, 0.000)
Ga (0.500, 0.000, 0.000)
Ga (0.500, 0.500, 0.500)
Au (0.153, 0.341, 0.495)
Au (0.153, 0.659, 0.812)
Au (0.188, 0.847, 0.341)
Au (0.341, 0.188, 0.847)
Au (0.341, 0.495, 0.153)
Au (0.495, 0.153, 0.341)
Au (0.505, 0.847, 0.659)
Au (0.659, 0.505, 0.847)
Au (0.659, 0.812, 0.153)
Au (0.812, 0.153, 0.659)
Au (0.847, 0.341, 0.188)
Au (0.847, 0.659, 0.505)

No. 2
For TmGa3Au, the GGA-PBE geometry in Alexandria gives the computed X-ray diffraction stick pattern in this record (Cu Kα).
No peak broadening, texture or thermal motion is included.

Principal peaks in the range 2θ from 15° to 90°, low angle first:
d = 2.915 Å, 2θ = 30.67°, rel. 39; d = 2.793 Å, 2θ = 32.04°, rel. 84; d = 2.595 Å, 2θ = 34.57°, rel. 100; d = 2.061 Å, 2θ = 43.93°, rel. 60; d = 1.994 Å, 2θ = 45.48°, rel. 57; d = 1.658 Å, 2θ = 55.40°, rel. 36; d = 1.434 Å, 2θ = 65.05°, rel. 29; d = 1.271 Å, 2θ = 74.71°, rel. 21

Structural model:
a b c (Å): 4.122 4.122 6.394
angles (deg): 108.71 108.71 90.04
Atoms (fractional coordinates):
Tm (0.000, 0.000, 0.000)
Ga (0.259, 0.759, 0.519)
Ga (0.399, 0.399, 0.799)
Ga (0.759, 0.259, 0.519)
Au (0.616, 0.616, 0.233)